Record 1
Calculated XRD peak list
Compound: Sr2AlZn2O6
Radiation: CuKα
Structure: DFT lattice parameters and positions (GGA-PBE)
Intensities are scaled so that the largest is 100.

a b c (Å): 6.196 6.196 6.196
angles (deg): 55.55 55.55 55.55
Positions (direct):
Sr 0.211 0.211 0.211
Sr 0.789 0.789 0.789
Al 0.000 0.000 0.000
Zn 0.412 0.412 0.412
Zn 0.588 0.588 0.588
O 0.216 0.773 0.773
O 0.227 0.227 0.784
O 0.227 0.784 0.227
O 0.773 0.216 0.773
O 0.773 0.773 0.216
O 0.784 0.227 0.227

Most intense lines, 10 to 90 degrees two-theta, most intense first:
two_theta, Rel. int.
31.0, 100
33.8, 79
56.9, 43
46.5, 32
64.6, 20
55.1, 19
74.9, 15
37.8, 14
34.3, 13
89.9, 13

=====

Record 2
Calculated XRD peak list
Compound: TaAlO4
Radiation: CuKα
Structure: DFT lattice parameters and positions (GGA-PBE)
Intensities are scaled so that the largest is 100.

a b c (Å): 4.512 11.394 4.806
angles (deg): 90.00 90.00 90.00
Positions (direct):
Ta 0.000 0.169 0.250
Ta 0.000 0.831 0.750
Ta 0.500 0.331 0.750
Ta 0.500 0.669 0.250
Al 0.000 0.435 0.250
Al 0.000 0.565 0.750
Al 0.500 0.065 0.750
Al 0.500 0.935 0.250
O 0.226 0.313 0.081
O 0.226 0.687 0.581
O 0.233 0.442 0.577
O 0.233 0.558 0.077
O 0.267 0.058 0.077
O 0.267 0.942 0.577
O 0.274 0.187 0.581
O 0.274 0.813 0.081
O 0.726 0.187 0.919
O 0.726 0.813 0.419
O 0.733 0.058 0.423
O 0.733 0.942 0.923
O 0.767 0.442 0.923
O 0.767 0.558 0.423
O 0.774 0.313 0.419
O 0.774 0.687 0.919

Most intense lines, 10 to 90 degrees two-theta, most intense first:
two_theta, Rel. int.
28.2, 100
30.8, 48
24.2, 44
49.2, 28
55.4, 24
36.7, 21
15.6, 18
47.3, 16
55.9, 15
65.5, 14

=====

Record 3
Calculated XRD peak list
Compound: Ta3Al4O14
Radiation: CuKα
Structure: DFT lattice parameters and positions (GGA-PBE)
Intensities are scaled so that the largest is 100.

a b c (Å): 7.446 7.446 4.609
angles (deg): 90.00 90.00 120.00
Positions (direct):
Ta 0.055 0.278 0.000
Ta 0.222 0.945 0.000
Ta 0.722 0.778 0.000
Al 0.333 0.667 0.507
Al 0.458 0.364 0.502
Al 0.636 0.094 0.502
Al 0.906 0.542 0.502
O 0.000 0.000 0.817
O 0.097 0.489 0.276
O 0.143 0.712 0.726
O 0.248 0.196 0.228
O 0.288 0.431 0.726
O 0.392 0.903 0.276
O 0.428 0.140 0.733
O 0.511 0.608 0.276
O 0.569 0.857 0.726
O 0.667 0.333 0.327
O 0.712 0.572 0.733
O 0.804 0.052 0.228
O 0.860 0.288 0.733
O 0.948 0.752 0.228

Most intense lines, 10 to 90 degrees two-theta, most intense first:
two_theta, Rel. int.
30.9, 100
23.7, 68
41.9, 60
54.8, 60
23.9, 59
33.9, 56
19.3, 55
36.9, 48
13.7, 41
66.4, 40

=====

Please write out number 1 again, unchanged.
Calculated XRD peak list
Compound: Sr2AlZn2O6
Radiation: CuKα
Structure: DFT lattice parameters and positions (GGA-PBE)
Intensities are scaled so that the largest is 100.

a b c (Å): 6.196 6.196 6.196
angles (deg): 55.55 55.55 55.55
Positions (direct):
Sr 0.211 0.211 0.211
Sr 0.789 0.789 0.789
Al 0.000 0.000 0.000
Zn 0.412 0.412 0.412
Zn 0.588 0.588 0.588
O 0.216 0.773 0.773
O 0.227 0.227 0.784
O 0.227 0.784 0.227
O 0.773 0.216 0.773
O 0.773 0.773 0.216
O 0.784 0.227 0.227

Most intense lines, 10 to 90 degrees two-theta, most intense first:
two_theta, Rel. int.
31.0, 100
33.8, 79
56.9, 43
46.5, 32
64.6, 20
55.1, 19
74.9, 15
37.8, 14
34.3, 13
89.9, 13